Record 1
Calculated PXRD pattern
Compound: K3PuH6O8
Radiation: Cu Kα, 1.54184 Å
Structure: a structure optimized by DFT (GGA-PBE)
Peak positions follow from Bragg's law for the DFT cell and can differ from measured ones.

Structural model:
a = 7.8968 Å, b = 8.5095 Å, c = 7.8311 Å
α = 90.00°, β = 118.53°, γ = 90.00°
Element x y z (fractional)
K1 0.0000 0.0000 0.0000
K2 0.0000 0.5000 0.5000
K3 0.4097 0.1975 0.9484
K4 0.4097 0.3025 0.4484
K5 0.5903 0.6975 0.5516
K6 0.5903 0.8025 0.0516
Pu1 0.0000 0.0000 0.5000
Pu2 0.0000 0.5000 0.0000
H1 0.1954 0.7068 0.8640
H2 0.1954 0.7932 0.3640
H3 0.3610 0.5385 0.8127
H4 0.3610 0.9615 0.3127
H5 0.4317 0.5311 0.1421
H6 0.4317 0.9689 0.6421
H7 0.5683 0.0311 0.3579
H8 0.5683 0.4689 0.8579
H9 0.6390 0.0385 0.6873
H10 0.6390 0.4615 0.1873
H11 0.8046 0.2068 0.6360
H12 0.8046 0.2932 0.1360
O1 0.1326 0.1934 0.5556
O2 0.1326 0.3066 0.0556
O3 0.1678 0.5680 0.2600
O4 0.1678 0.9320 0.7600
O5 0.2272 0.5966 0.9041
O6 0.2272 0.9034 0.4041
O7 0.4417 0.5033 0.7499
O8 0.4417 0.9967 0.2499
O9 0.5583 0.0033 0.7501
O10 0.5583 0.4967 0.2501
O11 0.7728 0.0966 0.5959
O12 0.7728 0.4034 0.0959
O13 0.8322 0.0680 0.2400
O14 0.8322 0.4320 0.7400
O15 0.8674 0.6934 0.9444
O16 0.8674 0.8066 0.4444

Top 8 peaks for 10 to 90 degrees two-theta, by intensity:
24.5 deg, rel. 100.0
16.8 deg, rel. 94.4
16.6 deg, rel. 81.0
12.8 deg, rel. 75.8
31.0 deg, rel. 45.9
20.9 deg, rel. 37.9
26.4 deg, rel. 36.3
34.2 deg, rel. 35.4

***

Record 2
Calculated PXRD pattern
Compound: K3PuH6O8
Radiation: Cu Kα, 1.54184 Å
Structure: a structure optimized by DFT (GGA-PBE)
Peak positions follow from Bragg's law for the DFT cell and can differ from measured ones.

Structural model:
a = 7.6208 Å, b = 8.4544 Å, c = 7.9001 Å
α = 90.00°, β = 116.58°, γ = 90.00°
Element x y z (fractional)
K1 0.0000 0.0000 0.0000
K2 0.0000 0.5000 0.5000
K3 0.4138 0.1907 0.9572
K4 0.4138 0.3093 0.4572
K5 0.5862 0.6907 0.5428
K6 0.5862 0.8093 0.0428
Pu1 0.0000 0.0000 0.5000
Pu2 0.0000 0.5000 0.0000
H1 0.1659 0.7020 0.3187
H2 0.1659 0.7980 0.8187
H3 0.3585 0.5271 0.8269
H4 0.3585 0.9729 0.3269
H5 0.4222 0.5234 0.1293
H6 0.4222 0.9766 0.6293
H7 0.5778 0.0234 0.3707
H8 0.5778 0.4766 0.8707
H9 0.6415 0.0271 0.6731
H10 0.6415 0.4729 0.1731
H11 0.8341 0.2020 0.1813
H12 0.8341 0.2980 0.6813
O1 0.1289 0.1950 0.5764
O2 0.1289 0.3050 0.0764
O3 0.1914 0.5914 0.2970
O4 0.1914 0.9086 0.7970
O5 0.2026 0.5685 0.9211
O6 0.2026 0.9315 0.4211
O7 0.4460 0.5025 0.7661
O8 0.4460 0.9975 0.2661
O9 0.5540 0.0025 0.7339
O10 0.5540 0.4975 0.2339
O11 0.7974 0.0685 0.5789
O12 0.7974 0.4315 0.0789
O13 0.8086 0.0914 0.2030
O14 0.8086 0.4086 0.7030
O15 0.8711 0.6950 0.9236
O16 0.8711 0.8050 0.4236

Top 8 peaks for 10 to 90 degrees two-theta, by intensity:
17.0 deg, rel. 100.0
16.4 deg, rel. 82.3
13.0 deg, rel. 77.2
24.8 deg, rel. 62.8
31.0 deg, rel. 45.3
39.8 deg, rel. 44.1
21.0 deg, rel. 41.3
25.2 deg, rel. 38.8

***

Record 3
Calculated PXRD pattern
Compound: K2H2RuO5
Radiation: Cu Kα, 1.54184 Å
Structure: a structure optimized by DFT (GGA-PBE)
Peak positions follow from Bragg's law for the DFT cell and can differ from measured ones.

Structural model:
a = 6.8447 Å, b = 8.1745 Å, c = 10.7141 Å
α = 90.00°, β = 90.00°, γ = 90.00°
Element x y z (fractional)
K1 0.0381 0.2454 0.1874
K2 0.1240 0.9027 0.9574
K3 0.3760 0.0973 0.4574
K4 0.4619 0.7546 0.6874
K5 0.5381 0.2546 0.8126
K6 0.6240 0.5973 0.0426
K7 0.8760 0.4027 0.5426
K8 0.9619 0.7454 0.3126
H1 0.1391 0.5746 0.0947
H2 0.1499 0.2290 0.7083
H3 0.3501 0.7710 0.2083
H4 0.3609 0.4254 0.5947
H5 0.6391 0.9254 0.9053
H6 0.6499 0.2710 0.2917
H7 0.8501 0.7290 0.7917
H8 0.8609 0.0746 0.4053
Ru1 0.0913 0.4405 0.8817
Ru2 0.4087 0.5595 0.3817
Ru3 0.5913 0.0595 0.1183
Ru4 0.9087 0.9405 0.6183
O1 0.0174 0.5409 0.0506
O2 0.1296 0.2424 0.9440
O3 0.1470 0.9931 0.6769
O4 0.1754 0.3476 0.7091
O5 0.2054 0.4230 0.3734
O6 0.2946 0.5770 0.8734
O7 0.3246 0.6524 0.2091
O8 0.3530 0.0069 0.1769
O9 0.3704 0.7576 0.4440
O10 0.4826 0.4591 0.5506
O11 0.5174 0.9591 0.9494
O12 0.6296 0.2576 0.0560
O13 0.6470 0.5069 0.3231
O14 0.6754 0.1524 0.2909
O15 0.7054 0.0770 0.6266
O16 0.7946 0.9230 0.1266
O17 0.8246 0.8476 0.7909
O18 0.8530 0.4931 0.8231
O19 0.8704 0.7424 0.5560
O20 0.9826 0.0409 0.4494

Top 8 peaks for 10 to 90 degrees two-theta, by intensity:
19.8 deg, rel. 100.0
27.4 deg, rel. 86.4
26.7 deg, rel. 83.8
18.8 deg, rel. 79.5
28.2 deg, rel. 57.4
25.4 deg, rel. 47.7
21.1 deg, rel. 45.9
39.4 deg, rel. 40.0